Record 1
For FeP3O9, the GGA+U geometry in the Materials Project gives the theoretical XRD peak list in this record (Cu Kα).
Lines closer than 0.1° are merged.

```
26
Lattice="6.7024 0.0000 0.0000 -0.4559 6.8828 0.0000 -0.4047 -1.5092 7.1940" Properties=species:S:1:pos:R:3 pbc="T T T"
Fe 0.9142 0.1285 2.5641
Fe 4.9275 5.2450 4.6299
P 0.4925 -0.0206 6.7823
P 1.5416 5.0274 5.0468
P 1.7575 2.0002 5.0390
P 4.0842 3.3734 2.1550
P 4.3001 0.3461 2.1472
P 5.3492 5.3941 0.4118
O -0.1279 5.6173 1.2672
O 0.7038 1.4417 1.0799
O 0.4920 5.4787 4.0274
O 0.8377 1.4999 3.9311
O 1.1748 1.3634 6.4406
O 1.2833 3.5183 5.3908
O 1.6206 -1.1390 6.4370
O 2.6282 3.5316 2.2523
O 2.8640 0.0348 2.4234
O 2.9777 5.3388 4.7707
O 3.2135 1.8420 4.9417
O 4.2212 6.5125 0.7571
O 4.5585 1.8552 1.8032
O 4.6670 4.0102 0.7534
O 5.0041 3.8737 3.2629
O 5.3498 -0.1051 3.1667
O 5.1379 3.9318 6.1141
O 5.9697 -0.2437 5.9268
```

The 8 most intense peaks (2θ = 10–90°), low angle first:
- 2θ = 13.1°, rel. 82
- 2θ = 18.0°, rel. 100
- 2θ = 18.8°, rel. 39
- 2θ = 26.7°, rel. 39
- 2θ = 28.6°, rel. 44
- 2θ = 29.0°, rel. 40
- 2θ = 31.6°, rel. 51
- 2θ = 32.5°, rel. 60



Record 2
For FeP2O7, the GGA+U geometry in the Materials Project gives the theoretical XRD peak list in this record (Cu Kα).
Lines closer than 0.1° are merged.

```
40
Lattice="6.4510 0.0000 0.0000 2.8484 9.2457 0.0000 0.7752 4.5245 9.6067" Properties=species:S:1:pos:R:3 pbc="T T T"
Fe 0.0000 0.0000 0.0000
Fe 2.5417 8.1033 9.3371
Fe 6.2807 7.8903 5.0639
Fe 8.0794 11.4844 4.8236
P 1.8262 6.0346 6.8492
P 4.7633 10.7768 4.3331
P 4.6410 10.6646 9.1639
P 4.1832 5.3320 5.2432
P 3.3139 0.7079 0.4790
P 6.9961 9.9611 7.5596
P 7.6541 8.8399 2.7898
P 6.8778 2.6635 2.0251
O 1.1928 3.9305 1.6082
O 3.6014 11.3072 5.1701
O 3.6919 11.8427 9.0632
O 2.4057 7.2294 7.6101
O 1.4789 1.7166 2.7910
O 4.0172 9.3031 8.8751
O 3.0587 5.1041 6.3660
O 4.8801 9.1510 0.2558
O 3.5551 5.3850 3.8385
O 4.9689 9.2716 4.4808
O 3.1009 2.2110 0.3019
O 4.5041 6.0634 0.9564
O 3.1966 2.3276 4.5719
O 5.7635 10.8965 8.0371
O 4.7852 6.7079 5.5071
O 6.6093 9.7932 2.0210
O 6.4142 8.7783 6.7836
O 5.1460 4.1637 5.3701
O 5.2511 4.6926 9.2538
O 6.8900 7.5683 3.1945
O 7.8634 10.8675 6.7035
O 5.6772 2.8625 2.9337
O 7.9413 9.5502 4.1371
O 7.6659 9.4788 8.8409
O 7.5829 6.4989 5.5744
O 6.5919 1.9474 0.6772
O 8.8616 8.6413 1.8868
O 7.4291 5.1277 7.7261
```

The 8 most intense peaks (2θ = 10–90°), low angle first:
- 2θ = 10.6°, rel. 100
- 2θ = 16.6°, rel. 34
- 2θ = 17.6°, rel. 55
- 2θ = 18.5°, rel. 52
- 2θ = 20.3°, rel. 31
- 2θ = 21.4°, rel. 37
- 2θ = 22.8°, rel. 75
- 2θ = 34.2°, rel. 29



Record 3
For Fe3PO7, the GGA+U geometry in the Materials Project gives the theoretical XRD peak list in this record (Cu Kα).
Lines closer than 0.1° are merged.

```
11
Lattice="4.0804 2.3558 2.3216 -4.0804 2.3558 2.3216 0.0000 -4.7116 2.3216" Properties=species:S:1:pos:R:3 pbc="T T T"
Fe 0.0000 -1.8366 2.3216
Fe -1.5906 0.9183 2.3216
Fe 1.5906 0.9183 2.3216
P 0.0000 0.0000 5.1882
O 0.0000 -2.9334 3.9149
O -2.5404 1.4667 3.9149
O 0.0000 0.0000 3.5936
O -1.2741 -0.7356 5.6301
O 1.2741 -0.7356 5.6301
O 0.0000 1.4712 5.6301
O 2.5404 1.4667 3.9149
```

The 8 most intense peaks (2θ = 10–90°), low angle first:
- 2θ = 17.9°, rel. 18
- 2θ = 28.3°, rel. 100
- 2θ = 28.6°, rel. 31
- 2θ = 36.0°, rel. 14
- 2θ = 42.7°, rel. 22
- 2θ = 44.4°, rel. 13
- 2θ = 55.6°, rel. 26
- 2θ = 63.3°, rel. 15



Record 4
For Fe3P4O16, the GGA+U geometry in the Materials Project gives the theoretical XRD peak list in this record (Cu Kα).
Lines closer than 0.1° are merged.

```
46
Lattice="9.5548 -3.1870 0.0000 9.5548 3.1870 0.0000 -0.3844 0.0000 10.9491" Properties=species:S:1:pos:R:3 pbc="T T T"
Fe 4.7774 1.5935 0.0000
Fe 2.7835 0.1378 2.7313
Fe 2.5913 -0.1378 8.2058
Fe 4.5852 -1.5935 5.4746
Fe 16.1339 0.1378 2.7433
Fe 15.9417 -0.1378 8.2179
P 7.9259 2.1591 0.0891
P 10.9915 2.1591 5.3854
P 5.6090 0.1258 2.7962
P 5.4168 -0.1258 8.2707
P 13.3084 0.1258 2.6784
P 13.1162 -0.1258 8.1529
P 7.7337 -2.1591 5.5637
P 10.7993 -2.1591 10.8600
O 1.4721 0.3348 1.2704
O 1.3266 0.0075 9.7059
O 1.5188 -0.0075 4.2313
O 6.4516 1.3615 3.0569
O 1.2799 -0.3348 6.7450
O 6.6777 1.2484 0.0905
O 6.2887 1.0860 8.0079
O 4.5770 0.3330 1.5909
O 4.3449 0.1101 9.4304
O 4.5371 -0.1101 3.9559
O 9.1965 1.3321 0.3931
O 4.3847 -0.3330 7.0654
O 9.7210 1.3321 5.0814
O 12.4658 1.3615 2.4176
O 12.2397 1.2484 5.3840
O 12.2443 1.0860 8.4158
O 6.4809 -1.0860 2.5333
O 6.4855 -1.2484 5.5651
O 6.2594 -1.3615 8.5315
O 9.0043 -1.3321 5.8677
O 14.3405 0.3330 3.8837
O 9.5288 -1.3321 10.5560
O 14.1881 0.1101 6.9932
O 14.3804 -0.1101 1.5187
O 14.1482 -0.3330 9.3582
O 12.4365 -1.0860 2.9412
O 12.0475 -1.2484 10.8586
O 17.4453 0.3348 4.2041
O 12.2736 -1.3615 7.8922
O 17.2064 0.0075 6.7178
O 17.3986 -0.0075 1.2432
O 17.2531 -0.3348 9.6787
```

The 8 most intense peaks (2θ = 10–90°), low angle first:
- 2θ = 14.7°, rel. 100
- 2θ = 16.7°, rel. 90
- 2θ = 16.8°, rel. 91
- 2θ = 19.0°, rel. 40
- 2θ = 27.2°, rel. 38
- 2θ = 28.4°, rel. 36
- 2θ = 32.5°, rel. 80
- 2θ = 32.7°, rel. 42